1.
Ca2HgBi: theoretical X-ray diffraction stick pattern (λ = 1.5418 Å (Cu Kα)), based on a DFT-relaxed cell (GGA-PBE, the Materials Project).
No peak broadening, texture or thermal motion is included.

The 10 most intense peaks (2θ = 10–90°), by angle:
2θ 22.81, I 50, hkl 2 0 0; 2θ 32.48, I 100, hkl 2 2 0; 2θ 40.06, I 17, hkl 2 2 2; 2θ 46.59, I 18, hkl 4 0 0; 2θ 52.48, I 24, hkl 4 2 0; 2θ 57.94, I 38, hkl 4 2 2; 2θ 68.01, I 12, hkl 4 4 0; 2θ 72.77, I 12, hkl 6 0 0; 2θ 77.40, I 17, hkl 6 2 0; 2θ 81.96, I 7, hkl 6 2 2

Atomic structure:
```
data_Ca2HgBi
_cell_length_a 7.7979
_cell_length_b 7.7979
_cell_length_c 7.7979
_cell_angle_alpha 90.00
_cell_angle_beta 90.00
_cell_angle_gamma 90.00
_symmetry_space_group_name_H-M 'F m -3 m'
_symmetry_Int_Tables_number 225
_symmetry_space_group_name_Hall '-F 4 2 3'
loop_
_atom_site_label
_atom_site_type_symbol
_atom_site_fract_x
_atom_site_fract_y
_atom_site_fract_z
Ca1 Ca 0.2500 0.2500 0.2500
Hg1 Hg 0.0000 0.0000 0.0000
Bi1 Bi 0.0000 0.0000 0.5000
```

=====

2.
TiAu: theoretical X-ray diffraction stick pattern (λ = 1.5418 Å (Cu Kα)), based on a DFT-relaxed cell (GGA-PBE, the Materials Project).
No peak broadening, texture or thermal motion is included.

The 10 most intense peaks (2θ = 10–90°), by angle:
2θ 17.97, I 15, hkl 0 0 1; 2θ 26.37, I 54, hkl 1 0 1; 2θ 29.65, I 25, hkl 0 1 0; 2θ 34.89, I 15, hkl 0 1 1; 2θ 36.41, I 17, hkl 0 0 2; 2θ 38.83, I 33, hkl 2 0 0; 2θ 40.09, I 100, hkl 1 1 1; 2θ 41.44, I 31, hkl 1 0 2; 2θ 71.15, I 18, hkl 3 1 1; 2θ 77.94, I 16, hkl 2 1 3

Atomic structure:
```
data_TiAu
_cell_length_a 4.6386
_cell_length_b 3.0130
_cell_length_c 4.9357
_cell_angle_alpha 90.00
_cell_angle_beta 90.00
_cell_angle_gamma 90.00
_symmetry_space_group_name_H-M 'P m m a'
_symmetry_Int_Tables_number 51
loop_
_symmetry_equiv_pos_as_xyz
'x,y,z'
'-x,-y,-z'
'-x+1/2,-y,z'
'x+1/2,y,-z'
'x+1/2,-y,-z'
'-x+1/2,y,z'
'-x,y,-z'
'x,-y,z'
loop_
_atom_site_label
_atom_site_type_symbol
_atom_site_fract_x
_atom_site_fract_y
_atom_site_fract_z
Ti1 Ti 0.2500 0.0000 0.1870
Au1 Au 0.2500 0.5000 0.6812
```

=====

3.
Gd3InS6: theoretical X-ray diffraction stick pattern (λ = 1.5418 Å (Cu Kα)), based on a DFT-relaxed cell (GGA-PBE, the Materials Project).
No peak broadening, texture or thermal motion is included.

The 10 most intense peaks (2θ = 10–90°), by angle:
2θ 25.11, I 100, hkl 2 4 0; 2θ 26.10, I 89, hkl 4 0 0; 2θ 26.89, I 29, hkl 2 1 1; 2θ 30.97, I 40, hkl 2 3 1; 2θ 32.13, I 37, hkl 3 2 1; 2θ 34.37, I 52, hkl 3 3 1; 2θ 35.48, I 48, hkl 0 5 1; 2θ 40.76, I 37, hkl 5 1 1; 2θ 44.67, I 32, hkl 0 7 1; 2θ 46.59, I 38, hkl 0 0 2

Atomic structure:
```
data_Gd3InS6
_cell_length_a 13.6287
_cell_length_b 16.6112
_cell_length_c 3.8990
_cell_angle_alpha 90.00
_cell_angle_beta 90.00
_cell_angle_gamma 90.00
_symmetry_space_group_name_H-M 'P n n m'
_symmetry_Int_Tables_number 58
loop_
_symmetry_equiv_pos_as_xyz
'x,y,z'
'-x,-y,-z'
'-x,-y,z'
'x,y,-z'
'x+1/2,-y+1/2,-z+1/2'
'-x+1/2,y+1/2,z+1/2'
'-x+1/2,y+1/2,-z+1/2'
'x+1/2,-y+1/2,z+1/2'
loop_
_atom_site_label
_atom_site_type_symbol
_atom_site_fract_x
_atom_site_fract_y
_atom_site_fract_z
Gd1 Gd 0.0401 0.2234 0.0000
Gd2 Gd 0.1882 0.6457 0.0000
Gd3 Gd 0.2489 0.8934 0.5000
In1 In 0.0000 0.0000 0.5000
In2 In 0.0000 0.5000 0.5000
S1 S 0.0209 0.3949 0.0000
S2 S 0.0961 0.9141 0.0000
S3 S 0.1111 0.7466 0.5000
S4 S 0.1131 0.1168 0.5000
S5 S 0.1819 0.2868 0.5000
S6 S 0.1915 0.5205 0.5000
```